Record 1
# LaZn11
Theoretical X-ray powder pattern, Cu Kα, 1.54184 Å. Input: a GGA-PBE-relaxed structure.

Structural model:
```
24
Lattice="-5.3503 5.3503 3.4429 5.3503 -5.3503 3.4429 5.3503 5.3503 -3.4429" Properties=species:S:1:pos:R:3 pbc="T T T"
La 5.3503 2.6751 0.8607
La 0.0000 2.6751 2.5822
Zn 0.0000 0.0000 0.0000
Zn 2.6751 2.6751 -1.7215
Zn 2.6751 -2.6751 1.7215
Zn 5.3503 -2.6751 2.5822
Zn 4.0473 -0.4700 1.2267
Zn 6.6532 -0.4700 1.2267
Zn 2.2051 1.3722 0.4947
Zn 8.4954 1.3722 0.4947
Zn 4.0473 4.8803 -1.2267
Zn 1.3030 -0.4700 2.2162
Zn 2.2051 3.9781 0.4947
Zn 3.1452 -1.3722 3.9376
Zn 0.0000 5.3503 0.0000
Zn 2.2051 6.7225 -0.4947
Zn 3.1452 1.3722 2.9482
Zn 4.0473 5.8203 1.2267
Zn 1.3030 0.4700 4.6696
Zn -3.1452 3.9781 2.9482
Zn 3.1452 3.9781 2.9482
Zn -1.3030 5.8203 2.2162
Zn 1.3030 5.8203 2.2162
Zn 0.0000 8.0254 0.8607
```

Main lines, by angle (2θ from 5° to 70°):
2θ 32.86, rel. 398; 2θ 37.26, rel. 1000; 2θ 37.59, rel. 749; 2θ 40.18, rel. 336; 2θ 42.81, rel. 163; 2θ 43.74, rel. 178; 2θ 44.32, rel. 595; 2θ 46.20, rel. 332; 2θ 47.63, rel. 130; 2θ 67.62, rel. 308

Record 2
# LaZn4
Theoretical X-ray powder pattern, Cu Kα, 1.54184 Å. Input: a GGA-PBE-relaxed structure.

Structural model:
```
10
Lattice="3.1437 -5.1846 0.0000 3.1437 5.1846 0.0000 0.0000 0.0000 6.0837" Properties=species:S:1:pos:R:3 pbc="T T T"
La 3.1437 2.7727 4.5628
La 3.1437 -2.7727 1.5209
Zn 3.1437 4.0445 1.5209
Zn 1.7766 0.0000 0.0000
Zn 1.7766 0.0000 3.0418
Zn 3.1437 1.5456 1.5209
Zn 3.1437 -1.5456 4.5628
Zn 4.5108 0.0000 0.0000
Zn 4.5108 0.0000 3.0418
Zn 3.1437 -4.0445 4.5628
```

Main lines, by angle (2θ from 5° to 70°):
2θ 28.39, rel. 176; 2θ 33.04, rel. 1000; 2θ 33.33, rel. 782; 2θ 34.18, rel. 796; 2θ 41.30, rel. 979; 2θ 48.59, rel. 318; 2θ 53.29, rel. 252; 2θ 54.45, rel. 236; 2θ 58.74, rel. 141; 2θ 60.91, rel. 157

Record 3
# La3Zr
Theoretical X-ray powder pattern, Cu Kα, 1.54184 Å. Input: a GGA-PBE-relaxed structure.

Structural model:
```
4
Lattice="5.0621 0.0000 0.0000 0.0000 5.0621 0.0000 0.0000 0.0000 5.0621" Properties=species:S:1:pos:R:3 pbc="T T T"
La 0.0000 0.0000 2.5310
La 0.0000 2.5310 0.0000
La 2.5310 0.0000 0.0000
Zr 2.5310 2.5310 2.5310
```

Main lines, by angle (2θ from 5° to 70°):
2θ 17.52, rel. 20; 2θ 24.88, rel. 18; 2θ 30.59, rel. 1000; 2θ 35.47, rel. 504; 2θ 39.82, rel. 11; 2θ 43.81, rel. 9; 2θ 51.03, rel. 355; 2θ 54.37, rel. 6; 2θ 60.68, rel. 419; 2θ 63.68, rel. 120

Record 4
# La3Zr
Theoretical X-ray powder pattern, Cu Kα, 1.54184 Å. Input: a GGA-PBE-relaxed structure.

Structural model:
```
8
Lattice="7.2038 0.0000 0.0000 -3.6019 6.2386 0.0000 0.0000 0.0000 5.8770" Properties=species:S:1:pos:R:3 pbc="T T T"
La 0.0000 2.1523 1.4692
La -1.7379 5.1625 1.4692
La 1.8640 1.0762 4.4077
La 1.7379 5.1625 1.4692
La 5.3398 1.0762 4.4077
La 3.6019 4.0863 4.4077
Zr 0.0000 4.1591 4.4077
Zr 3.6019 2.0795 1.4692
```

Main lines, by angle (2θ from 5° to 70°):
2θ 20.76, rel. 36; 2θ 28.62, rel. 233; 2θ 30.42, rel. 267; 2θ 32.50, rel. 1000; 2θ 42.25, rel. 161; 2θ 50.69, rel. 186; 2θ 55.38, rel. 221; 2θ 60.27, rel. 219; 2θ 61.51, rel. 154; 2θ 68.06, rel. 37

Record 5
# Li
Theoretical X-ray powder pattern, Cu Kα, 1.54184 Å. Input: a GGA-PBE-relaxed structure.

Structural model:
```
2
Lattice="3.4268 0.0000 0.0000 0.0000 3.4268 0.0000 0.0000 0.0000 3.4268" Properties=species:S:1:pos:R:3 pbc="T T T"
Li 0.0000 0.0000 0.0000
Li 1.7134 1.7134 1.7134
```

Main lines, by angle (2θ from 5° to 70°):
2θ 37.10, rel. 1000; 2θ 53.48, rel. 178; 2θ 66.88, rel. 353

Record 6
# Li
Theoretical X-ray powder pattern, Cu Kα, 1.54184 Å. Input: a GGA-PBE-relaxed structure.

Structural model:
```
3
Lattice="4.9053 0.0000 0.0000 -2.4526 4.2481 0.0000 0.0000 0.0000 2.8892" Properties=species:S:1:pos:R:3 pbc="T T T"
Li 0.0000 0.0000 0.0000
Li 0.0000 2.8321 1.4446
Li 2.4526 1.4160 1.4446
```

Main lines, by angle (2θ from 5° to 70°):
2θ 30.95, rel. 59; 2θ 36.64, rel. 1000; 2θ 37.65, rel. 823; 2θ 48.70, rel. 100; 2θ 53.55, rel. 304; 2θ 64.51, rel. 64; 2θ 65.97, rel. 178; 2θ 66.64, rel. 306

Record 7
# Li
Theoretical X-ray powder pattern, Cu Kα, 1.54184 Å. Input: a GGA-PBE-relaxed structure.

Structural model:
```
2
Lattice="3.0775 0.0000 0.0000 -1.5388 2.6652 0.0000 0.0000 0.0000 4.9229" Properties=species:S:1:pos:R:3 pbc="T T T"
Li 0.0000 1.7768 1.2307
Li 1.5388 0.8884 3.6922
```

Main lines, by angle (2θ from 5° to 70°):
2θ 33.63, rel. 242; 2θ 36.50, rel. 256; 2θ 38.41, rel. 1000; 2θ 50.47, rel. 154; 2θ 60.13, rel. 183; 2θ 66.97, rel. 194

Record 8
# Li
Theoretical X-ray powder pattern, Cu Kα, 1.54184 Å. Input: a GGA-PBE-relaxed structure.

Structural model:
```
4
Lattice="3.0711 0.0000 0.0000 -1.5355 2.6596 0.0000 0.0000 0.0000 9.8254" Properties=species:S:1:pos:R:3 pbc="T T T"
Li 0.0000 0.0000 0.0000
Li 0.0000 0.0000 4.9127
Li 0.0000 1.7731 2.4563
Li 1.5355 0.8865 7.3690
```

Main lines, by angle (2θ from 5° to 70°):
2θ 33.70, rel. 81; 2θ 34.95, rel. 437; 2θ 36.58, rel. 342; 2θ 38.49, rel. 1000; 2θ 43.85, rel. 231; 2θ 50.58, rel. 51; 2θ 58.39, rel. 101; 2θ 60.27, rel. 244; 2θ 67.13, rel. 193

Record 9
# Li
Theoretical X-ray powder pattern, Cu Kα, 1.54184 Å. Input: a GGA-PBE-relaxed structure.

Structural model:
```
4
Lattice="4.4576 0.0000 0.0000 0.0000 4.4576 0.0000 0.0000 0.0000 4.4576" Properties=species:S:1:pos:R:3 pbc="T T T"
Li 0.5572 1.6716 2.7860
Li 1.6716 2.7860 0.5572
Li 2.7860 0.5572 1.6716
Li 3.9004 3.9004 3.9004
```

Main lines, by angle (2θ from 5° to 70°):
2θ 28.31, rel. 946; 2θ 34.86, rel. 352; 2θ 45.50, rel. 1000; 2θ 50.13, rel. 380; 2θ 66.31, rel. 161

Record 10
# Li
Theoretical X-ray powder pattern, Cu Kα, 1.54184 Å. Input: a GGA-PBE-relaxed structure.

Structural model:
```
16
Lattice="6.8609 0.0000 0.0000 0.0000 6.8609 0.0000 0.0000 0.0000 6.8609" Properties=species:S:1:pos:R:3 pbc="T T T"
Li 0.0410 3.3895 3.4714
Li 0.0410 3.4714 6.8199
Li 1.6743 1.6743 1.6743
Li 1.6743 5.1866 1.7562
Li 1.7562 1.6743 5.1866
Li 1.7562 5.1866 5.1047
Li 3.3895 3.3895 3.3895
Li 3.3895 3.4714 0.0410
Li 3.4714 0.0410 3.3895
Li 3.4714 6.8199 0.0410
Li 5.1047 1.7562 5.1866
Li 5.1047 5.1047 5.1047
Li 5.1866 1.7562 1.6743
Li 5.1866 5.1047 1.7562
Li 6.8199 0.0410 3.4714
Li 6.8199 6.8199 6.8199
```

Main lines, by angle (2θ from 5° to 70°):
2θ 37.06, rel. 1000; 2θ 41.63, rel. 8; 2θ 53.42, rel. 176; 2θ 63.61, rel. 5; 2θ 66.80, rel. 345; 2θ 69.91, rel. 5

Record 11
# Li
Theoretical X-ray powder pattern, Cu Kα, 1.54184 Å. Input: a GGA-PBE-relaxed structure.

Structural model:
```
9
Lattice="3.0638 0.0000 0.0000 -1.5319 2.6533 0.0000 0.0000 0.0000 22.2662" Properties=species:S:1:pos:R:3 pbc="T T T"
Li 0.0000 0.0000 0.0000
Li 0.0000 0.0000 4.9443
Li 0.0000 0.0000 17.3219
Li 0.0000 1.7689 9.8998
Li 0.0000 1.7689 14.8441
Li 0.0000 1.7689 19.7884
Li 1.5319 0.8844 2.4778
Li 1.5319 0.8844 7.4221
Li 1.5319 0.8844 12.3663
```

Main lines, by angle (2θ from 5° to 70°):
2θ 34.03, rel. 376; 2θ 34.76, rel. 150; 2θ 36.31, rel. 516; 2θ 37.55, rel. 1000; 2θ 39.54, rel. 874; 2θ 47.33, rel. 145; 2θ 53.74, rel. 106; 2θ 60.43, rel. 358; 2θ 64.79, rel. 201; 2θ 68.82, rel. 169

Record 12
# Li
Theoretical X-ray powder pattern, Cu Kα, 1.54184 Å. Input: a GGA-PBE-relaxed structure.

Structural model:
```
4
Lattice="4.3199 0.0000 0.0000 0.0000 4.3199 0.0000 0.0000 0.0000 4.3199" Properties=species:S:1:pos:R:3 pbc="T T T"
Li 0.0000 0.0000 0.0000
Li 0.0000 2.1599 2.1599
Li 2.1599 0.0000 2.1599
Li 2.1599 2.1599 0.0000
```

Main lines, by angle (2θ from 5° to 70°):
2θ 36.01, rel. 1000; 2θ 41.82, rel. 493; 2θ 60.63, rel. 335

Record 13
# Li
Theoretical X-ray powder pattern, Cu Kα, 1.54184 Å. Input: a GGA-PBE-relaxed structure.

Structural model:
```
12
Lattice="8.0466 -2.7877 0.0000 8.0466 2.7877 0.0000 0.0000 0.0000 5.4069" Properties=species:S:1:pos:R:3 pbc="T T T"
Li 2.6324 0.6601 4.0761
Li 5.4143 0.6601 4.0342
Li 8.0466 1.4270 4.8780
Li 8.0466 1.3606 2.1746
Li 2.6324 -0.6601 1.3308
Li 5.4143 -0.6601 1.3726
Li 10.6790 0.6601 4.0342
Li 13.4609 0.6601 4.0761
Li 8.0466 -1.3606 3.2323
Li 8.0466 -1.4270 0.5288
Li 10.6790 -0.6601 1.3726
Li 13.4609 -0.6601 1.3308
```

Main lines, by angle (2θ from 5° to 70°):
2θ 33.14, rel. 317; 2θ 33.41, rel. 1000; 2θ 35.01, rel. 315; 2θ 36.26, rel. 678; 2θ 37.39, rel. 269; 2θ 38.00, rel. 295; 2θ 40.19, rel. 287; 2θ 40.73, rel. 261; 2θ 42.87, rel. 305; 2θ 50.12, rel. 537

Record 14
# Li3Lu
Theoretical X-ray powder pattern, Cu Kα, 1.54184 Å. Input: a GGA-PBE-relaxed structure.

Structural model:
```
8
Lattice="6.4162 0.0000 0.0000 -3.2081 5.5566 0.0000 0.0000 0.0000 5.0036" Properties=species:S:1:pos:R:3 pbc="T T T"
Li 0.0000 1.7003 1.2509
Li -1.7356 4.7064 1.2509
Li 1.4725 0.8502 3.7527
Li 1.7356 4.7064 1.2509
Li 4.9437 0.8502 3.7527
Li 3.2081 3.8563 3.7527
Lu 0.0000 3.7044 3.7527
Lu 3.2081 1.8522 1.2509
```

Main lines, by angle (2θ from 5° to 70°):
2θ 15.95, rel. 403; 2θ 23.93, rel. 1000; 2θ 27.81, rel. 456; 2θ 32.22, rel. 98; 2θ 35.90, rel. 98; 2θ 37.01, rel. 404; 2θ 46.00, rel. 236; 2θ 46.92, rel. 325; 2θ 49.19, rel. 96; 2θ 63.12, rel. 142

Record 15
# LiLu3
Theoretical X-ray powder pattern, Cu Kα, 1.54184 Å. Input: a GGA-PBE-relaxed structure.

Structural model:
```
8
Lattice="6.8393 0.0000 0.0000 -3.4197 5.9230 0.0000 0.0000 0.0000 5.4138" Properties=species:S:1:pos:R:3 pbc="T T T"
Li 0.0000 3.9487 1.3534
Li 3.4197 1.9743 4.0603
Lu 0.0000 1.9886 4.0603
Lu -1.6975 4.9288 4.0603
Lu 1.7221 0.9943 1.3534
Lu 1.6975 4.9288 4.0603
Lu 5.1172 0.9943 1.3534
Lu 3.4197 3.9345 1.3534
```

Main lines, by angle (2θ from 5° to 70°):
2θ 22.25, rel. 322; 2θ 26.06, rel. 141; 2θ 30.18, rel. 237; 2θ 33.09, rel. 249; 2θ 34.52, rel. 1000; 2θ 45.39, rel. 156; 2θ 53.60, rel. 192; 2θ 60.03, rel. 206; 2θ 64.46, rel. 221; 2θ 65.33, rel. 159